1.
Structure and simulated X-ray powder pattern of MnPd5Rh (the GGA-PBE geometry in Alexandria; Cu Kα).
Peak positions follow from Bragg's law for the DFT cell and can differ from measured ones.

Cell and atoms:
```
MnPd5Rh
1.0
2.751 -3.807 0.000
2.751 3.807 0.000
0.000 0.000 5.475
Mn Pd Rh
1 5 1
Cartesian
0.000 0.000 0.000
1.376 1.904 1.405
1.376 1.904 4.070
1.376 -1.904 1.405
1.376 -1.904 4.070
2.751 0.000 0.000
2.751 0.000 2.737
```

Top 10 peaks for 15 to 90 degrees two-theta, by intensity:
2θ = 40.4°, intensity 100.0; 2θ = 40.6°, intensity 98.6; 2θ = 46.8°, intensity 64.9; 2θ = 69.1°, intensity 39.1; 2θ = 19.9°, intensity 31.8; 2θ = 47.8°, intensity 30.6; 2θ = 82.5°, intensity 24.0; 2θ = 82.7°, intensity 23.5; 2θ = 84.0°, intensity 11.6; 2θ = 38.6°, intensity 11.6


2.
Structure and simulated X-ray powder pattern of Ti5MnPd2Rh2 (the GGA-PBE geometry in Alexandria; Cu Kα).
Peak positions follow from Bragg's law for the DFT cell and can differ from measured ones.

Cell and atoms:
```
Ti5MnPd2Rh2
1.0
10.428 0.000 0.000
0.000 10.428 0.000
0.000 0.000 2.943
Ti Mn Pd Rh
10 2 4 4
Cartesian
0.000 5.214 0.000
1.210 1.649 0.000
1.649 9.218 0.000
3.565 4.004 0.000
4.004 6.862 0.000
5.214 0.000 0.000
6.424 3.565 0.000
6.862 6.424 0.000
8.779 1.210 0.000
9.218 8.779 0.000
0.000 0.000 1.472
5.214 5.214 1.472
1.633 6.847 1.472
3.580 1.633 1.472
6.847 8.794 1.472
8.794 3.580 1.472
1.473 3.740 1.472
3.740 8.954 1.472
6.687 1.473 1.472
8.954 6.687 1.472
```

Top 10 peaks for 15 to 90 degrees two-theta, by intensity:
2θ = 41.1°, intensity 100.0; 2θ = 34.4°, intensity 34.3; 2θ = 48.2°, intensity 23.6; 2θ = 76.8°, intensity 22.5; 2θ = 49.4°, intensity 19.3; 2θ = 27.0°, intensity 16.9; 2θ = 38.6°, intensity 16.7; 2θ = 52.7°, intensity 14.4; 2θ = 36.6°, intensity 12.2; 2θ = 24.1°, intensity 10.4